For BaCaEuSeO6, a cell relaxed with PBE gives the computed X-ray diffraction stick pattern in this record (Cu Kα).
Lines closer than 0.1° are merged.

Largest 12 diffraction maxima, by angle, 2θ from 15° to 90°:
d [Å], Rel. int.
4.741, 5
4.106, 12
2.903, 100
2.370, 18
2.053, 32
1.836, 7
1.676, 38
1.452, 19
1.298, 18
1.238, 5
1.185, 6
1.097, 22

```
BaCaEuSeO6
1.0
0.0000 4.1057 4.1057
4.1057 0.0000 4.1057
4.1057 4.1057 0.0000
Ba Ca Eu Se O
1 1 1 1 6
Cartesian
0.0000 0.0000 0.0000
6.1585 6.1585 6.1585
4.1057 4.1057 4.1057
2.0528 2.0528 2.0528
2.0528 2.0528 0.2102
2.0528 0.2102 2.0528
3.8955 2.0528 2.0528
0.2102 2.0528 2.0528
2.0528 3.8955 2.0528
2.0528 2.0528 3.8955
```

=====

For BaCaGaF7, a cell relaxed with PBE gives the computed X-ray diffraction stick pattern in this record (Cu Kα).
Lines closer than 0.1° are merged.

Largest 12 diffraction maxima, by angle, 2θ from 15° to 90°:
d [Å], Rel. int.
3.894, 100
3.649, 69
3.223, 39
3.167, 40
3.077, 28
2.989, 37
2.762, 27
2.133, 26
2.097, 31
2.062, 29
2.040, 27
1.947, 27

```
BaCaGaF7
1.0
5.4943 0.0000 0.0000
0.0000 5.5241 0.0000
-4.6910 0.0000 19.3287
Ba Ca Ga F
4 4 4 28
Cartesian
-1.0201 1.3440 8.3405
-3.3656 4.1800 18.0048
4.1689 1.3440 1.3238
1.8234 4.1800 10.9881
-3.5182 1.7928 14.4965
-1.1727 3.7312 4.8322
1.5744 1.1541 4.8322
-0.7711 4.3699 14.4965
-1.1367 1.2442 11.9712
1.2088 4.2799 2.3068
-0.4055 1.2442 17.0218
1.9400 4.2799 7.3575
2.8763 1.5687 10.7767
-4.4184 1.5687 18.2163
5.2217 3.9554 1.1124
-2.0730 3.9554 8.5519
-2.3349 0.1323 13.0823
0.0106 5.3917 3.4180
-0.1684 2.0485 5.9591
-2.5139 3.4756 15.6234
-1.7741 2.7102 13.0523
0.5714 2.8139 3.3880
1.5922 0.3042 1.2300
-0.7533 5.2199 10.8944
-1.7661 0.7165 15.7711
0.5794 4.8076 6.1068
-0.0409 2.2588 10.8507
2.3046 3.2653 1.1863
-1.5013 2.2588 18.1423
0.8442 3.2653 8.4780
0.2239 0.7165 13.2219
2.5694 4.8076 3.5575
1.5566 0.3042 8.4343
-0.7889 5.2199 18.0986
0.2319 2.7102 15.9407
2.5774 2.8139 6.2763
3.3172 2.0485 3.7052
0.9717 3.4756 13.3696
0.7927 0.1323 15.9106
3.1382 5.3917 6.2463
```

=====

For BaCaTiF7, a cell relaxed with PBE gives the computed X-ray diffraction stick pattern in this record (Cu Kα).
Lines closer than 0.1° are merged.

Largest 12 diffraction maxima, by angle, 2θ from 15° to 90°:
d [Å], Rel. int.
3.678, 100
3.603, 19
3.525, 52
3.279, 14
3.198, 22
2.954, 19
2.413, 19
2.328, 28
2.307, 37
2.268, 22
1.826, 19
1.769, 18

```
BaCaTiF7
1.0
5.9149 0.0000 0.0000
0.0000 10.4038 0.0000
-0.4827 0.0000 10.0804
Ba Ca Ti F
4 4 4 28
Cartesian
1.1137 1.8177 5.0098
0.8723 3.3842 10.0500
4.5599 7.0196 0.0304
4.3185 8.5861 5.0706
1.0282 6.1822 3.2056
0.7868 9.4235 8.2458
4.6453 0.9803 1.8346
4.4040 4.2216 6.8748
1.4995 6.4222 6.9717
1.7409 9.1835 1.9315
3.6913 1.2203 8.1489
3.9327 3.9816 3.1087
-0.2246 7.3392 7.6230
0.0168 8.2666 2.5828
0.5612 5.6078 1.1609
0.3198 9.9979 6.2011
0.8535 0.4840 1.2974
0.6122 4.7179 6.3377
1.0858 7.2821 5.2467
1.3271 8.3237 0.2065
1.9088 0.7866 8.9812
2.1502 4.4153 3.9409
1.9780 5.6207 8.6545
2.2193 9.9851 3.6143
2.7652 7.5286 2.5599
2.5239 8.0772 7.6001
2.9083 2.3266 2.4803
2.6670 2.8753 7.5205
3.2128 0.4187 6.4661
3.4542 4.7832 1.4259
3.2820 5.9886 6.1395
3.5233 9.6172 1.0993
4.1050 2.0801 9.8739
4.3464 3.1218 4.8337
4.8200 5.6859 3.7428
4.5787 9.9198 8.7830
5.1124 0.4059 3.8793
4.8710 4.7960 8.9195
5.4154 2.1372 7.4976
5.6568 3.0647 2.4574
```

=====

For BaCaGdNbO6, a cell relaxed with PBE gives the computed X-ray diffraction stick pattern in this record (Cu Kα).
Lines closer than 0.1° are merged.

Largest 12 diffraction maxima, by angle, 2θ from 15° to 90°:
d [Å], Rel. int.
4.858, 6
2.975, 100
2.110, 9
2.100, 19
1.720, 15
1.716, 30
1.489, 11
1.334, 6
1.330, 6
1.327, 6
1.126, 7
1.123, 11

```
BaCaGdNbO6
1.0
8.3926 0.0000 0.0000
0.0000 8.4091 0.0000
0.0000 0.0000 8.4403
Ba Ca Gd Nb O
4 4 4 4 24
Cartesian
0.0000 0.0000 0.0000
0.0000 0.0000 4.2202
0.0000 4.2045 0.0000
4.1963 4.2045 4.2202
0.0000 4.2045 4.2202
4.1963 0.0000 0.0000
4.1963 0.0000 4.2202
4.1963 4.2045 0.0000
2.1481 2.1229 2.1141
2.1481 6.2862 6.3262
6.2445 2.1229 6.3262
6.2445 6.2862 2.1141
2.1548 2.0905 6.3153
2.1548 6.3186 2.1251
6.2378 2.0905 2.1251
6.2378 6.3186 6.3153
0.1446 2.2897 6.5871
0.1446 6.1193 1.8533
1.7668 2.5567 4.3647
1.7668 5.8523 4.0756
1.8874 0.1153 6.0902
1.8874 8.2938 2.3502
2.4922 1.7423 8.3108
2.4922 6.6668 0.1296
2.5419 4.0470 6.7356
2.5419 4.3620 1.7047
4.0691 1.7477 5.8217
4.0691 6.6614 2.6187
4.3234 1.7477 2.6187
4.3234 6.6614 5.8217
5.8507 4.0470 1.7047
5.8507 4.3620 6.7356
5.9004 1.7423 0.1296
5.9004 6.6668 8.3108
6.5052 0.1153 2.3502
6.5052 8.2938 6.0902
6.6258 2.5567 4.0756
6.6258 5.8523 4.3647
8.2480 2.2897 1.8533
8.2480 6.1193 6.5871
```

=====

For BaCaGdNbO6, a cell relaxed with PBE gives the computed X-ray diffraction stick pattern in this record (Cu Kα).
Lines closer than 0.1° are merged.

Largest 12 diffraction maxima, by angle, 2θ from 15° to 90°:
d [Å], Rel. int.
4.925, 14
4.265, 10
3.016, 100
2.572, 10
2.133, 32
1.957, 5
1.908, 4
1.741, 40
1.508, 20
1.349, 18
1.231, 6
1.140, 21

```
BaCaGdNbO6
1.0
0.0000 4.2654 4.2654
4.2654 0.0000 4.2654
4.2654 4.2654 0.0000
Ba Ca Gd Nb O
1 1 1 1 6
Cartesian
0.0000 0.0000 0.0000
4.2654 4.2654 4.2654
6.3982 6.3982 6.3982
2.1327 2.1327 2.1327
2.1327 2.1327 0.1209
2.1327 0.1209 2.1327
4.1446 2.1327 2.1327
0.1209 2.1327 2.1327
2.1327 4.1446 2.1327
2.1327 2.1327 4.1446
```

=====

For BaCaGdSbO6, a cell relaxed with PBE gives the computed X-ray diffraction stick pattern in this record (Cu Kα).
Lines closer than 0.1° are merged.

Largest 12 diffraction maxima, by angle, 2θ from 15° to 90°:
d [Å], Rel. int.
4.208, 11
3.433, 4
2.975, 100
2.104, 28
1.882, 5
1.718, 44
1.488, 16
1.331, 12
1.329, 6
1.215, 5
1.125, 15
1.124, 7

```
BaCaGdSbO6
1.0
8.4051 0.0000 0.0000
0.0000 8.4189 0.0000
0.0000 0.0000 8.4210
Ba Ca Gd Sb O
4 4 4 4 24
Cartesian
2.1013 2.1047 2.1053
2.1013 6.3142 6.3158
6.3038 2.1047 2.1053
6.3038 6.3142 6.3158
2.1013 2.1047 6.3158
2.1013 6.3142 2.1053
6.3038 2.1047 6.3158
6.3038 6.3142 2.1053
0.0000 0.0000 0.0000
0.0000 4.2095 4.2105
4.2026 0.0000 4.2105
4.2026 4.2095 0.0000
0.0000 0.0000 4.2105
0.0000 4.2095 0.0000
4.2026 0.0000 0.0000
4.2026 4.2095 4.2105
0.2131 1.9822 3.9905
0.2131 2.2273 0.2200
0.4582 0.2602 6.1741
0.4582 3.9492 6.4574
1.9589 4.5233 0.4362
1.9589 8.1051 3.7743
2.2437 4.5233 3.7743
2.2437 8.1051 0.4362
3.7443 0.2602 6.4574
3.7443 3.9492 6.1741
3.9894 1.9822 0.2200
3.9894 2.2273 3.9905
4.4157 6.1917 4.4305
4.4157 6.4367 8.2010
4.6608 4.4697 2.2469
4.6608 8.1587 1.9636
6.1615 0.3138 7.9848
6.1615 3.8956 4.6467
6.4462 0.3138 4.6467
6.4462 3.8956 7.9848
7.9469 4.4697 1.9636
7.9469 8.1587 2.2469
8.1920 6.1917 8.2010
8.1920 6.4367 4.4305
```

=====

For BaCaGdSbO6, a cell relaxed with PBE gives the computed X-ray diffraction stick pattern in this record (Cu Kα).
Lines closer than 0.1° are merged.

Largest 12 diffraction maxima, by angle, 2θ from 15° to 90°:
d [Å], Rel. int.
4.203, 34
2.985, 94
2.976, 100
2.956, 91
2.104, 52
2.096, 26
1.726, 30
1.720, 20
1.715, 21
1.711, 31
1.492, 15
1.331, 21

```
BaCaGdSbO6
1.0
5.9176 0.0000 0.0000
-0.0241 5.9657 0.0000
-0.0634 -0.0712 8.4139
Ba Ca Gd Sb O
2 2 2 2 12
Cartesian
0.0117 0.1334 2.1064
5.8184 5.7611 6.3075
2.8973 3.2052 2.1315
2.9328 2.6893 6.2824
-0.0438 2.9472 4.2070
2.9588 0.0000 0.0000
-0.0121 2.9828 0.0000
2.9271 -0.0356 4.2070
0.5284 2.9131 6.4603
1.1732 4.5698 0.3044
1.3237 4.7190 3.9768
1.5976 1.8243 0.4630
1.8112 1.6242 3.8046
2.5716 0.2534 6.1741
3.2584 5.6410 2.2398
4.0189 4.2702 4.6093
4.2324 4.0701 7.9509
4.5064 1.1754 4.4372
4.6569 1.3247 8.1095
5.3016 2.9814 1.9536
```

=====

For BaCaGdSbO6, a cell relaxed with PBE gives the computed X-ray diffraction stick pattern in this record (Cu Kα).
Lines closer than 0.1° are merged.

Largest 12 diffraction maxima, by angle, 2θ from 15° to 90°:
d [Å], Rel. int.
4.901, 10
4.245, 13
3.001, 100
2.560, 7
2.122, 32
1.948, 3
1.898, 5
1.733, 40
1.501, 19
1.342, 18
1.225, 6
1.134, 21

```
BaCaGdSbO6
1.0
0.0000 4.2446 4.2446
4.2446 0.0000 4.2446
4.2446 4.2446 0.0000
Ba Ca Gd Sb O
1 1 1 1 6
Cartesian
0.0000 0.0000 0.0000
4.2446 4.2446 4.2446
6.3669 6.3669 6.3669
2.1223 2.1223 2.1223
2.1223 2.1223 0.1219
2.1223 0.1219 2.1223
4.1227 2.1223 2.1223
0.1219 2.1223 2.1223
2.1223 4.1227 2.1223
2.1223 2.1223 4.1227
```